This entry pairs a crystal structure of HfTlHg3O4 with its computed XRD peak list. Radiation: Cu Kα X-rays. Structure: the GGA-PBE geometry in OQMD.
Lines closer than 0.1° are merged.

Atomic structure:
```
data_HfTlHg3O4
_space_group_name_H-M_alt 'P 1'
_space_group_IT_number 1
_cell_length_a 5.9830
_cell_length_b 5.9830
_cell_length_c 5.9830
_cell_angle_alpha 90.00
_cell_angle_beta 90.00
_cell_angle_gamma 90.00
loop_
_space_group_symop_operation_xyz
'x,y,z'
loop_
_atom_site_label
_atom_site_type_symbol
_atom_site_fract_x
_atom_site_fract_y
_atom_site_fract_z
Hf1 Hf 0.0000 0.0000 0.0000
Tl1 Tl 0.5000 0.5000 0.5000
Hg1 Hg 0.0000 0.0000 0.5000
Hg2 Hg 0.0000 0.5000 0.0000
Hg3 Hg 0.5000 0.0000 0.0000
O1 O 0.1926 0.1926 0.8074
O2 O 0.1926 0.8074 0.1926
O3 O 0.8074 0.1926 0.1926
O4 O 0.8074 0.8074 0.8074
```

Main lines, by angle (10° ≤ 2θ ≤ 90°):
25.8 deg, rel. 87
29.9 deg, rel. 100
42.7 deg, rel. 92
50.6 deg, rel. 45
70.4 deg, rel. 40
78.3 deg, rel. 30

=====

This entry pairs a crystal structure of Hf2HgPt3 with its computed XRD peak list. Radiation: Cu Kα X-rays. Structure: the GGA-PBE geometry in OQMD.
Lines closer than 0.1° are merged.

Atomic structure:
```
data_Hf2HgPt3
_space_group_name_H-M_alt 'P 1'
_space_group_IT_number 1
_cell_length_a 3.5173
_cell_length_b 3.5173
_cell_length_c 8.7881
_cell_angle_alpha 90.00
_cell_angle_beta 90.00
_cell_angle_gamma 90.00
loop_
_space_group_symop_operation_xyz
'x,y,z'
loop_
_atom_site_label
_atom_site_type_symbol
_atom_site_fract_x
_atom_site_fract_y
_atom_site_fract_z
Hf1 Hf 0.0000 0.0000 0.0000
Hf2 Hf 0.5000 0.5000 0.4657
Hg1 Hg 0.5000 0.5000 0.8045
Pt1 Pt 0.0000 0.0000 0.3165
Pt2 Pt 0.0000 0.0000 0.6365
Pt3 Pt 0.5000 0.5000 0.1340
```

Main lines, by angle (10° ≤ 2θ ≤ 90°):
36.1 deg, rel. 70
40.1 deg, rel. 100
52.0 deg, rel. 25
67.6 deg, rel. 44
75.3 deg, rel. 14
87.8 deg, rel. 12